# Sm2Al4Fe13
Computed PXRD pattern, λ = 1.5418 Å (Cu Kα). Input: DFT lattice parameters and positions (GGA-PBE).
Intensities are scaled so that the largest is 100.

Atomic structure:
```
Sm2Al4Fe13
1.0
4.2668 2.4634 4.2487
-4.2668 2.4634 4.2487
0.0000 -4.9269 4.2487
Sm Al Fe
2 4 13
Direct
0.0000 0.0000 0.0000
0.3092 0.3092 0.3092
0.1681 0.6510 0.6510
0.6510 0.1681 0.6510
0.6510 0.6510 0.1681
0.7461 0.7461 0.7461
0.3132 0.3132 0.8248
0.3132 0.8248 0.3132
0.3669 0.6575 0.9474
0.3669 0.9474 0.6575
0.4953 0.9943 0.9943
0.5584 0.5584 0.5584
0.6575 0.3669 0.9474
0.6575 0.9474 0.3669
0.8248 0.3132 0.3132
0.9474 0.3669 0.6575
0.9474 0.6575 0.3669
0.9943 0.4953 0.9943
0.9943 0.9943 0.4953
```

Peak list (10 most intense, 10° ≤ 2θ ≤ 90°, in order of rising 2θ)
27.9°, I = 13
29.7°, I = 25
36.5°, I = 29
37.3°, I = 27
42.4°, I = 100
42.6°, I = 22
43.1°, I = 14
61.5°, I = 11
61.6°, I = 10
77.8°, I = 11